1.
Structure and theoretical powder diffractogram of CsGaH4 (a GGA-PBE-relaxed structure; CuKα).

Cell and atoms:
Unit cell a=5.5639 b=5.5639 c=7.7857 alpha=90.00 beta=90.00 gamma=90.00
Fractional positions:
Cs  0.2500  0.7500  0.2500
Cs  0.7500  0.2500  0.7500
Ga  0.2500  0.7500  0.7500
Ga  0.7500  0.2500  0.2500
H  0.0155  0.7500  0.6314
H  0.2500  0.5155  0.8686
H  0.2500  0.9845  0.8686
H  0.4845  0.7500  0.6314
H  0.5155  0.2500  0.3686
H  0.7500  0.0155  0.1314
H  0.7500  0.4845  0.1314
H  0.9845  0.2500  0.3686

Most intense lines, 2θ = 10–90°, sorted by position:
3.934 Å, I 100
3.893 Å, I 49
2.782 Å, I 40
2.767 Å, I 79
2.263 Å, I 45
1.603 Å, I 30

2.
Structure and theoretical powder diffractogram of Li2SnO2F6 (a GGA-PBE-relaxed structure; CuKα).

Cell and atoms:
Unit cell a=5.7075 b=5.7075 c=4.6938 alpha=92.10 beta=92.10 gamma=73.72
Fractional positions:
Li  0.0000  0.5000  0.0000
Li  0.5000  0.0000  0.0000
Sn  0.0000  0.0000  0.5000
O  0.3487  0.3487  0.2039
O  0.6513  0.6513  0.7961
F  0.1109  0.6943  0.7202
F  0.1746  0.1746  0.7848
F  0.3057  0.8891  0.2798
F  0.6943  0.1109  0.7202
F  0.8254  0.8254  0.2152
F  0.8891  0.3057  0.2798

Most intense lines, 2θ = 10–90°, sorted by position:
5.477 Å, I 100
4.689 Å, I 21
3.611 Å, I 30
3.514 Å, I 32
2.393 Å, I 38
2.013 Å, I 18

3.
Structure and theoretical powder diffractogram of Li2InSn (a GGA-PBE-relaxed structure; CuKα).

Cell and atoms:
Unit cell a=4.8390 b=4.8390 c=4.8390 alpha=60.00 beta=60.00 gamma=60.00
Fractional positions:
Li  0.2500  0.2500  0.2500
Li  0.7500  0.7500  0.7500
In  0.0000  0.0000  0.0000
Sn  0.5000  0.5000  0.5000

Most intense lines, 2θ = 10–90°, sorted by position:
3.422 Å, I 100
2.420 Å, I 94
1.976 Å, I 29
1.530 Å, I 38
1.397 Å, I 34
1.141 Å, I 19

4.
Structure and theoretical powder diffractogram of La2CuTe2O (a GGA-PBE-relaxed structure; CuKα).

Cell and atoms:
Unit cell a=3.6722 b=3.6722 c=15.3954 alpha=90.00 beta=90.00 gamma=90.00
Fractional positions:
La  0.0000  0.0000  0.1367
La  0.0000  0.0000  0.8633
Cu  0.0000  0.0000  0.5000
Te  0.0000  0.0000  0.3424
Te  0.0000  0.0000  0.6576
O  0.0000  0.0000  0.0000

Most intense lines, 2θ = 10–90°, sorted by position:
3.849 Å, I 18
3.672 Å, I 100
2.657 Å, I 27
2.597 Å, I 40
2.103 Å, I 22
1.642 Å, I 19

5.
Structure and theoretical powder diffractogram of Cr4Ga6Se15 (a GGA-PBE-relaxed structure; CuKα).

Cell and atoms:
Unit cell a=6.5781 b=6.5781 c=15.9180 alpha=94.10 beta=94.10 gamma=118.45
Fractional positions:
Cr  0.0000  0.0000  0.0000
Cr  0.3434  0.6570  0.0014
Cr  0.6570  0.3434  0.0014
Cr  0.8704  0.8704  0.6023
Ga  0.0936  0.4135  0.2393
Ga  0.1519  0.8125  0.4428
Ga  0.4135  0.0936  0.2393
Ga  0.5880  0.9250  0.7614
Ga  0.8125  0.1519  0.4428
Ga  0.9250  0.5880  0.7614
Se  0.0252  0.3623  0.0826
Se  0.0707  0.7666  0.2852
Se  0.1584  0.1584  0.5093
Se  0.2235  0.9186  0.7094
Se  0.3035  0.3035  0.9181
Se  0.3623  0.0252  0.0826
Se  0.4500  0.4500  0.2955
Se  0.5155  0.8216  0.4957
Se  0.5790  0.5790  0.6943
Se  0.6340  0.9727  0.9191
Se  0.6998  0.6998  0.0843
Se  0.7666  0.0707  0.2852
Se  0.8216  0.5155  0.4957
Se  0.9186  0.2235  0.7094
Se  0.9727  0.6340  0.9191

Most intense lines, 2θ = 10–90°, sorted by position:
3.941 Å, I 40
3.011 Å, I 52
2.957 Å, I 100
2.199 Å, I 48
1.928 Å, I 79
1.743 Å, I 37

6.
Structure and theoretical powder diffractogram of Y2Te5O13 (a GGA-PBE-relaxed structure; CuKα).

Cell and atoms:
Unit cell a=7.0551 b=8.7979 c=10.7948 alpha=89.46 beta=87.42 gamma=74.98
Fractional positions:
Y  0.0017  0.2611  0.2607
Y  0.4467  0.4733  0.3215
Y  0.5533  0.5267  0.6785
Y  0.9983  0.7389  0.7393
Te  0.1198  0.3507  0.6098
Te  0.1553  0.8025  0.1418
Te  0.2734  0.3923  0.9889
Te  0.2902  0.8753  0.4776
Te  0.4387  0.9008  0.8009
Te  0.5613  0.0992  0.1991
Te  0.7098  0.1247  0.5224
Te  0.7266  0.6077  0.0111
Te  0.8447  0.1975  0.8582
Te  0.8802  0.6493  0.3902
O  0.0457  0.3494  0.0663
O  0.0595  0.8182  0.5382
O  0.0643  0.0159  0.1878
O  0.0656  0.2655  0.7770
O  0.1234  0.4895  0.3927
O  0.2352  0.4946  0.6882
O  0.3143  0.7357  0.7852
O  0.3279  0.7421  0.2740
O  0.3289  0.2253  0.2771
O  0.3374  0.5132  0.1185
O  0.3479  0.9817  0.6254
O  0.4612  0.1938  0.0213
O  0.4648  0.6702  0.4992
O  0.5352  0.3298  0.5008
O  0.5388  0.8062  0.9787
O  0.6521  0.0183  0.3746
O  0.6626  0.4868  0.8815
O  0.6711  0.7747  0.7229
O  0.6721  0.2579  0.7260
O  0.6857  0.2643  0.2148
O  0.7648  0.5054  0.3118
O  0.8766  0.5105  0.6073
O  0.9344  0.7345  0.2230
O  0.9357  0.9841  0.8122
O  0.9405  0.1818  0.4618
O  0.9543  0.6506  0.9337

Most intense lines, 2θ = 10–90°, sorted by position:
3.312 Å, I 100
3.276 Å, I 61
3.246 Å, I 47
2.937 Å, I 33
2.822 Å, I 23
2.784 Å, I 22

7.
Structure and theoretical powder diffractogram of MgIn (a GGA-PBE-relaxed structure; CuKα).

Cell and atoms:
Unit cell a=5.1199 b=3.5931 c=5.1560 alpha=90.00 beta=90.00 gamma=90.00
Fractional positions:
Mg  0.2500  0.0000  0.1852
Mg  0.7500  0.0000  0.8148
In  0.2500  0.5000  0.6847
In  0.7500  0.5000  0.3153

Most intense lines, 2θ = 10–90°, sorted by position:
3.633 Å, I 40
3.593 Å, I 23
2.578 Å, I 11
2.556 Å, I 100
2.303 Å, I 18
1.477 Å, I 13

8.
Structure and theoretical powder diffractogram of Na2Ti9O19 (a GGA-PBE-relaxed structure; CuKα).

Cell and atoms:
Unit cell a=6.4343 b=6.4343 c=15.7982 alpha=104.06 beta=104.06 gamma=34.43
Fractional positions:
Na  0.1772  0.1772  0.4916
Na  0.8228  0.8228  0.5084
Ti  0.2883  0.2883  0.2932
Ti  0.3127  0.3127  0.8825
Ti  0.3919  0.3919  0.1183
Ti  0.4151  0.4151  0.7048
Ti  0.5000  0.5000  0.5000
Ti  0.5849  0.5849  0.2952
Ti  0.6081  0.6081  0.8817
Ti  0.6873  0.6873  0.1175
Ti  0.7117  0.7117  0.7068
O  0.0000  0.0000  0.5000
O  0.1245  0.1245  0.2941
O  0.1476  0.1476  0.8833
O  0.2275  0.2275  0.1424
O  0.2506  0.2506  0.7310
O  0.3484  0.3484  0.4104
O  0.3737  0.3737  0.9976
O  0.3996  0.3996  0.5851
O  0.4269  0.4269  0.2584
O  0.4509  0.4509  0.8466
O  0.5491  0.5491  0.1534
O  0.5731  0.5731  0.7416
O  0.6004  0.6004  0.4149
O  0.6263  0.6263  0.0024
O  0.6516  0.6516  0.5896
O  0.7494  0.7494  0.2690
O  0.7725  0.7725  0.8576
O  0.8524  0.8524  0.1167
O  0.8755  0.8755  0.7059

Most intense lines, 2θ = 10–90°, sorted by position:
3.627 Å, I 100
3.056 Å, I 70
2.620 Å, I 25
2.049 Å, I 29
1.904 Å, I 45
1.594 Å, I 27

9.
Structure and theoretical powder diffractogram of BaUTe4 (a GGA-PBE-relaxed structure; CuKα).

Cell and atoms:
Unit cell a=8.8287 b=8.8287 c=10.6032 alpha=126.86 beta=126.86 gamma=41.86
Fractional positions:
Ba  0.1005  0.1005  0.3055
Ba  0.8995  0.8995  0.6945
U  0.3611  0.3611  0.2252
U  0.6389  0.6389  0.7748
Te  0.1005  0.1005  0.6586
Te  0.1056  0.6066  0.9569
Te  0.3902  0.3902  0.5505
Te  0.3934  0.8944  0.0431
Te  0.6066  0.1056  0.9569
Te  0.6098  0.6098  0.4495
Te  0.8944  0.3934  0.0431
Te  0.8995  0.8995  0.3414

Most intense lines, 2θ = 10–90°, sorted by position:
8.121 Å, I 61
3.159 Å, I 100
3.083 Å, I 59
2.940 Å, I 57
2.491 Å, I 71
2.457 Å, I 59

10.
Structure and theoretical powder diffractogram of AlMo12S24 (a GGA-PBE-relaxed structure; CuKα).

Cell and atoms:
Unit cell a=6.8424 b=6.8424 c=16.8363 alpha=90.29 beta=90.29 gamma=60.48
Fractional positions:
Al  0.0000  0.0000  0.0000
Mo  0.0503  0.4728  0.8622
Mo  0.1402  0.1402  0.5363
Mo  0.1453  0.7119  0.5361
Mo  0.3328  0.3328  0.7239
Mo  0.3843  0.8126  0.2065
Mo  0.4728  0.0503  0.8622
Mo  0.4733  0.4733  0.8612
Mo  0.6675  0.6675  0.0645
Mo  0.7119  0.1453  0.5361
Mo  0.8016  0.8016  0.2054
Mo  0.8126  0.3843  0.2065
Mo  0.9979  0.9979  0.3927
S  0.0224  0.4853  0.6208
S  0.0249  0.4838  0.1229
S  0.1480  0.6924  0.2887
S  0.1507  0.6933  0.7846
S  0.1519  0.1519  0.7844
S  0.1550  0.1550  0.2894
S  0.3316  0.3316  0.4679
S  0.3330  0.3330  0.9607
S  0.3554  0.8207  0.4547
S  0.3580  0.8196  0.9542
S  0.4838  0.0249  0.1229
S  0.4853  0.0224  0.6208
S  0.4890  0.4890  0.6211
S  0.4909  0.4909  0.1263
S  0.6617  0.6617  0.3059
S  0.6650  0.6650  0.7996
S  0.6924  0.1480  0.2887
S  0.6933  0.1507  0.7846
S  0.8194  0.8194  0.9537
S  0.8196  0.3580  0.9542
S  0.8207  0.3554  0.4547
S  0.8205  0.8205  0.4564
S  0.9973  0.9973  0.1346
S  0.9971  0.9971  0.6346

Most intense lines, 2θ = 10–90°, sorted by position:
5.616 Å, I 100
5.567 Å, I 34
2.931 Å, I 44
2.427 Å, I 98
1.722 Å, I 29
1.710 Å, I 28

11.
Structure and theoretical powder diffractogram of AlPt (a GGA-PBE-relaxed structure; CuKα).

Cell and atoms:
Unit cell a=4.9174 b=4.9174 c=4.9174 alpha=90.00 beta=90.00 gamma=90.00
Fractional positions:
Al  0.1560  0.3440  0.6560
Al  0.3440  0.6560  0.1560
Al  0.6560  0.1560  0.3440
Al  0.8440  0.8440  0.8440
Pt  0.1549  0.1549  0.1549
Pt  0.3451  0.8451  0.6549
Pt  0.6549  0.3451  0.8451
Pt  0.8451  0.6549  0.3451

Most intense lines, 2θ = 10–90°, sorted by position:
3.477 Å, I 56
2.839 Å, I 38
2.199 Å, I 100
2.008 Å, I 41
1.555 Å, I 17
1.314 Å, I 33

Which formula does entry 1 have? CsGaH4